Structure and simulated X-ray powder pattern of CrMoAu2 (a cell relaxed with PBE; Cu Kα (weighted mean of Kα1 and Kα2)).

Principal peaks in the range 2θ from 10° to 90°, in order of rising 2θ:
| d [Å] | I_rel |
| --- | --- |
| 4.733 | 58 |
| 2.438 | 23 |
| 2.366 | 52 |
| 2.332 | 100 |
| 2.293 | 48 |
| 2.034 | 67 |
| 1.988 | 31 |
| 1.439 | 33 |
| 1.405 | 20 |
| 1.219 | 19 |

Crystal structure
a = 5.018 Å, b = 5.018 Å, c = 4.831 Å
α = 99.74°, β = 99.74°, γ = 33.33°
Atoms (fractional coordinates):
Cr 0.000 0.000 0.000
Mo 0.500 0.500 0.500
Au 0.249 0.249 0.749
Au 0.751 0.751 0.251